Zr4Sc3Ti: theoretical X-ray diffraction stick pattern (Cu Kα (weighted mean of Kα1 and Kα2)), based on a cell relaxed with GGA-PBE.
Intensities are scaled so that the largest is 100.

Crystal structure
Lattice parameters (Å, degrees): 3.1497 4.8923 11.7250 90.00 90.00 90.00
Space group Pmm2 (No. 25)
Asymmetric unit:
Zr (0.0000, 0.0000, 0.0000)
Zr (0.0000, 0.5000, 0.3425)
Zr (0.5000, 0.0000, 0.4802)
Zr (0.5000, 0.5000, 0.8485)
Sc (0.0000, 0.0000, 0.7359)
Sc (0.0000, 0.5000, 0.6010)
Sc (0.5000, 0.5000, 0.1097)
Ti (0.5000, 0.0000, 0.2343)

Most intense lines, 10 to 90 degrees two-theta, by angle:
two_theta, d [Å], I (rel.)
15.11, 5.863, 11.8
23.69, 3.756, 20.8
34.73, 2.583, 100.0
35.71, 2.514, 80.3
36.69, 2.450, 86.1
48.40, 1.881, 15.8
52.86, 1.732, 31.2
62.26, 1.491, 13.3
64.88, 1.437, 15.0
65.50, 1.425, 12.4
65.99, 1.416, 14.2
70.56, 1.335, 19.7